Record 1
Starting from a cell relaxed with GGA-PBE, the powder diffractogram of LiB12 was computed for λ = 1.5418 Å (Cu Kα).
Neutral-atom scattering factors, no anomalous dispersion.

Peak list (10 most intense, 2θ from 10° to 90°, by angle)
d (Å)  2θ (°)  I/Imax  (hkl)
3.506  25.41  100  1 1 0
2.479  36.24  26  2 0 0
2.024  44.78  49  2 1 1
1.753  52.18  7  2 2 0
1.568  58.91  8  3 1 0
1.431  65.18  24  2 2 2
1.325  71.15  21  3 2 1
1.239  76.92  15  4 0 0
1.169  82.55  5  3 3 0
1.109  88.11  6  4 2 0

Structural model:
```
13
Lattice="4.9580 0.0000 0.0000 0.0000 4.9580 0.0000 0.0000 0.0000 4.9580" Properties=species:S:1:pos:R:3 pbc="T T T"
Li 0.0000 0.0000 0.0000
B 0.0000 1.2490 2.4790
B 0.0000 2.4790 1.2490
B 0.0000 2.4790 3.7089
B 0.0000 3.7089 2.4790
B 1.2490 0.0000 2.4790
B 1.2490 2.4790 0.0000
B 2.4790 0.0000 1.2490
B 2.4790 0.0000 3.7089
B 2.4790 1.2490 0.0000
B 2.4790 3.7089 0.0000
B 3.7089 0.0000 2.4790
B 3.7089 2.4790 0.0000
```



Record 2
Starting from a cell relaxed with GGA-PBE, the powder diffractogram of LiB9 was computed for λ = 1.5418 Å (Cu Kα).
Neutral-atom scattering factors, no anomalous dispersion.

Peak list (10 most intense, 2θ from 10° to 90°, by angle)
d (Å)  2θ (°)  I/Imax  (hkl)
4.976  17.83  100  1 0 0
2.506  35.84  43  0 0 2
2.492  36.04  44  1 1 1
2.238  40.30  15  1 0 2
1.888  48.19  16  1 1 2
1.881  48.40  23  2 1 0
1.504  61.67  14  2 1 2
1.444  64.53  20  1 1 3
1.381  67.88  33  2 2 1
1.330  70.82  16  3 1 1

Structural model:
```
20
Lattice="5.7455 0.0000 0.0000 -2.8727 4.9757 0.0000 0.0000 0.0000 5.0111" Properties=species:S:1:pos:R:3 pbc="T T T"
Li 0.0000 0.0000 0.0000
Li 0.0000 0.0000 2.5056
B -1.0684 1.8506 1.2074
B -1.8043 3.1251 3.7130
B -0.3897 2.3535 4.5167
B -1.0294 3.4614 2.0111
B 0.3897 2.3535 2.0111
B -0.6396 4.1365 4.5167
B 2.1369 0.0000 1.2074
B 1.0684 1.8506 3.7130
B 2.2331 0.8393 4.5167
B 1.8434 1.5143 2.0111
B 1.0294 3.4614 4.5167
B 0.6396 4.1365 2.0111
B 3.6086 0.0000 3.7130
B 1.8043 3.1251 1.2074
B 3.5124 0.8393 2.0111
B 2.4830 2.6222 4.5167
B 3.9021 1.5143 4.5167
B 3.2625 2.6222 2.0111
```



Record 3
Starting from a cell relaxed with GGA-PBE, the powder diffractogram of Li4B was computed for λ = 1.5418 Å (Cu Kα).
Neutral-atom scattering factors, no anomalous dispersion.

Peak list (10 most intense, 2θ from 10° to 90°, by angle)
d (Å)  2θ (°)  I/Imax  (hkl)
4.377  20.29  82  1 0 0
3.095  28.85  53  1 1 0
2.527  35.52  40  1 1 1
2.189  41.25  100  2 0 0
1.958  46.39  18  2 1 0
1.787  51.11  13  2 1 1
1.548  59.76  64  2 2 0
1.320  71.48  19  3 1 1
1.264  75.20  20  2 2 2
1.094  89.58  9  4 0 0

Structural model:
```
5
Lattice="4.3771 0.0000 0.0000 0.0000 4.3771 0.0000 0.0000 0.0000 4.3771" Properties=species:S:1:pos:R:3 pbc="T T T"
Li 0.0000 0.0000 0.0000
Li 0.0000 2.1886 2.1886
Li 2.1886 0.0000 2.1886
Li 2.1886 2.1886 0.0000
B 2.1886 2.1886 2.1886
```



Record 4
Starting from a cell relaxed with GGA-PBE, the powder diffractogram of LiB3 was computed for λ = 1.5418 Å (Cu Kα).
Neutral-atom scattering factors, no anomalous dispersion.

Peak list (10 most intense, 2θ from 10° to 90°, by angle)
d (Å)  2θ (°)  I/Imax  (hkl)
4.229  21.01  100  1 1 0
4.162  21.35  26  0 0 1
2.967  30.12  7  1 1 1
2.250  40.07  7  2 1 1
2.115  42.76  7  2 2 0
2.081  43.48  5  0 0 2
1.722  53.19  16  3 1 1
1.708  53.65  11  2 0 2
1.400  66.84  7  3 1 2
1.214  78.82  6  4 0 2

Structural model:
```
16
Lattice="5.9810 0.0000 0.0000 0.0000 5.9810 0.0000 0.0000 0.0000 4.1625" Properties=species:S:1:pos:R:3 pbc="T T T"
Li 1.0878 1.9027 0.0000
Li 1.9027 4.8932 0.0000
Li 4.0783 1.0878 0.0000
Li 4.8932 4.0783 0.0000
B 0.0000 0.0000 0.8585
B 0.0000 0.0000 3.3039
B 0.8024 5.0086 2.0812
B 0.9724 0.8024 2.0812
B 2.0181 3.7929 2.0812
B 2.1881 2.0181 2.0812
B 2.9905 2.9905 0.8585
B 2.9905 2.9905 3.3039
B 3.7929 3.9629 2.0812
B 3.9629 2.1881 2.0812
B 5.0086 5.1786 2.0812
B 5.1786 0.9724 2.0812
```



Record 5
Starting from a cell relaxed with GGA-PBE, the powder diffractogram of Li2Lu5B3O13 was computed for λ = 1.5418 Å (Cu Kα).
Neutral-atom scattering factors, no anomalous dispersion.

Peak list (10 most intense, 2θ from 10° to 90°, by angle)
d (Å)  2θ (°)  I/Imax  (hkl)
5.048  17.57  51  0 0 3
3.137  28.46  54  1 0 -5
3.123  28.59  63  1 1 -2
3.111  28.69  53  2 0 3
2.873  31.13  100  2 1 -1
2.806  31.90  97  2 1 -2
2.649  33.84  75  1 1 3
2.568  34.94  48  0 1 4
1.834  49.71  55  4 1 2
1.646  55.84  46  5 1 1

Structural model:
```
46
Lattice="10.0907 0.0000 0.0000 0.0000 3.4972 0.0000 -4.1829 0.0000 15.1342" Properties=species:S:1:pos:R:3 pbc="T T T"
Li 0.9161 0.8743 0.8031
Li 1.5035 2.6229 3.7364
Li 4.4043 0.8743 11.3978
Li 4.9917 2.6229 14.3311
Lu -1.0627 0.8743 4.5956
Lu -0.9511 0.8743 8.5259
Lu -0.1746 0.8743 12.0224
Lu -0.5842 2.6229 15.1116
Lu 2.0355 2.6229 9.5423
Lu 3.8723 0.8743 5.5919
Lu 6.4920 0.8743 0.0225
Lu 6.0825 2.6229 3.1118
Lu 6.8590 2.6229 6.6083
Lu 6.9705 2.6229 10.5385
B -2.8034 2.6229 13.4418
B 1.1427 2.6229 6.4190
B 3.3531 0.8743 2.7490
B 2.5547 2.6229 12.3852
B 4.7651 0.8743 8.7151
B 8.7112 0.8743 1.6923
O -2.2263 2.6229 8.5872
O -0.2768 0.8743 2.4990
O -1.8412 0.8743 10.6574
O -2.8716 2.6229 14.8287
O 0.3264 2.6229 5.2780
O -1.4813 2.6229 12.8968
O 0.5763 2.6229 7.6933
O 2.9638 0.8743 1.4282
O 2.4548 0.8743 3.7937
O 0.7828 0.8743 9.9221
O 0.3185 0.8743 14.1829
O 2.5205 2.6229 6.2637
O 1.2062 2.6229 11.9941
O 4.7016 0.8743 3.1401
O 3.3873 0.8743 8.8705
O 5.5893 2.6229 0.9513
O 5.1250 2.6229 5.2121
O 3.4530 2.6229 11.3404
O 2.9440 2.6229 13.7059
O 5.3315 0.8743 7.4409
O 7.3891 0.8743 2.2374
O 5.5814 0.8743 9.8561
O 8.7795 0.8743 0.3055
O 7.7491 2.6229 4.4768
O 6.1846 2.6229 12.6352
O 8.1341 0.8743 6.5470
```



Record 6
Starting from a cell relaxed with GGA-PBE, the powder diffractogram of LiMg2B was computed for λ = 1.5418 Å (Cu Kα).
Neutral-atom scattering factors, no anomalous dispersion.

Peak list (10 most intense, 2θ from 10° to 90°, by angle)
d (Å)  2θ (°)  I/Imax  (hkl)
5.469  16.21  40  0 0 1
3.306  26.97  58  1 0 -1
2.735  32.75  96  0 0 2
2.669  33.57  92  -1 1 1
2.549  35.21  80  1 2 0
2.358  38.16  100  1 -1 1
2.294  39.27  63  1 2 2
2.225  40.55  48  2 1 1
1.961  46.30  36  2 1 -1
1.745  52.43  38  0 3 1

Structural model:
```
8
Lattice="4.5780 0.0000 0.0000 2.0310 5.2355 0.0000 0.9069 1.7887 5.4692" Properties=species:S:1:pos:R:3 pbc="T T T"
Li 2.1602 2.5947 0.9690
Li 5.3557 4.4296 4.5002
Mg 3.0129 5.9799 4.0517
Mg 3.2488 2.6925 4.0031
Mg 4.2671 4.3317 1.4661
Mg 4.5030 1.0444 1.4175
B 1.9079 4.1900 2.5913
B 5.6080 2.8343 2.8779
```



Record 7
Starting from a cell relaxed with GGA-PBE, the powder diffractogram of LiMg14B was computed for λ = 1.5418 Å (Cu Kα).
Neutral-atom scattering factors, no anomalous dispersion.

Peak list (10 most intense, 2θ from 10° to 90°, by angle)
d (Å)  2θ (°)  I/Imax  (hkl)
5.438  16.30  4  1 0 0
3.658  24.34  6  1 0 2
2.719  32.94  26  2 0 0
2.471  36.35  24  0 0 4
2.382  37.76  100  2 0 2
1.829  49.87  14  2 0 4
1.570  58.83  17  2 2 0
1.409  66.34  15  2 0 6
1.325  71.16  17  2 2 4
1.311  72.05  13  4 0 2

Structural model:
```
16
Lattice="6.2789 0.0000 0.0000 -3.1394 5.4376 0.0000 0.0000 0.0000 9.8854" Properties=species:S:1:pos:R:3 pbc="T T T"
Li 0.0000 0.0000 0.0000
Mg -1.5436 2.7339 0.0000
Mg 0.0000 1.7372 2.6322
Mg 0.0000 1.7372 7.2532
Mg -1.6350 4.5690 2.6322
Mg -1.6350 4.5690 7.2532
Mg 1.5436 2.7339 0.0000
Mg 0.0000 5.4075 0.0000
Mg 3.1394 0.0451 4.9427
Mg 1.6088 2.6963 4.9427
Mg 3.1394 1.8125 2.4474
Mg 3.1394 1.8125 7.4380
Mg 1.6350 4.5690 2.6322
Mg 1.6350 4.5690 7.2532
Mg 4.6701 2.6963 4.9427
B 0.0000 0.0000 4.9427
```



Record 8
Starting from a cell relaxed with GGA-PBE, the powder diffractogram of LiMg9B20 was computed for λ = 1.5418 Å (Cu Kα).
Neutral-atom scattering factors, no anomalous dispersion.

Peak list (10 most intense, 2θ from 10° to 90°, by angle)
d (Å)  2θ (°)  I/Imax  (hkl)
2.657  33.74  25  2 0 0
2.648  33.85  12  0 2 1
2.126  42.52  25  2 -1 2
2.120  42.64  100  0 1 3
2.116  42.73  26  0 3 -1
1.763  51.85  20  0 2 -4
1.535  60.28  12  -4 2 1
1.532  60.40  12  2 2 1
1.529  60.56  12  -2 4 2
1.155  83.73  14  2 4 -3

Structural model:
```
30
Lattice="6.1413 0.0000 0.0000 -3.0629 6.3585 0.0000 -1.5143 -1.6980 7.3444" Properties=species:S:1:pos:R:3 pbc="T T T"
Li 0.0000 0.0000 0.0000
Mg -1.5196 0.2538 4.4159
Mg -3.0622 2.4814 5.8912
Mg 1.5283 2.1798 1.4526
Mg 3.0707 0.0000 0.0000
Mg 1.5496 0.2568 4.4077
Mg 0.0146 4.4037 2.9367
Mg 0.0358 2.4808 5.8918
Mg 4.6264 2.1792 1.4532
Mg 3.0838 4.4067 2.9285
B 0.0066 0.4741 2.4417
B -1.5126 0.7381 6.8374
B -1.5216 2.6884 3.9110
B -1.5319 4.6372 0.9816
B -3.0538 4.8998 5.3795
B 1.5390 -0.2395 1.9650
B 0.0164 0.0240 6.3646
B 0.0155 1.9684 3.4353
B 0.0080 3.9212 0.4964
B -1.5123 4.1820 4.9028
B 3.0765 0.4786 2.4416
B 1.5562 0.7393 6.8480
B 1.5487 2.6922 3.9091
B 1.5477 4.6365 0.9798
B 0.0252 4.9000 5.3794
B 4.6179 -0.2392 1.9649
B 3.0961 0.0234 6.3628
B 3.0857 1.9722 3.4334
B 3.0767 3.9224 0.5070
B 1.5576 4.1865 4.9027
```



> Which formula does entry 1 have?

LiB12



Please write out number 3 again, unchanged.
Starting from a cell relaxed with GGA-PBE, the powder diffractogram of Li4B was computed for λ = 1.5418 Å (Cu Kα).
Neutral-atom scattering factors, no anomalous dispersion.

Peak list (10 most intense, 2θ from 10° to 90°, by angle)
d (Å)  2θ (°)  I/Imax  (hkl)
4.377  20.29  82  1 0 0
3.095  28.85  53  1 1 0
2.527  35.52  40  1 1 1
2.189  41.25  100  2 0 0
1.958  46.39  18  2 1 0
1.787  51.11  13  2 1 1
1.548  59.76  64  2 2 0
1.320  71.48  19  3 1 1
1.264  75.20  20  2 2 2
1.094  89.58  9  4 0 0

Structural model:
```
5
Lattice="4.3771 0.0000 0.0000 0.0000 4.3771 0.0000 0.0000 0.0000 4.3771" Properties=species:S:1:pos:R:3 pbc="T T T"
Li 0.0000 0.0000 0.0000
Li 0.0000 2.1886 2.1886
Li 2.1886 0.0000 2.1886
Li 2.1886 2.1886 0.0000
B 2.1886 2.1886 2.1886
```